Record 1
Theoretical powder XRD pattern of Li5NiOF5 for copper Kα, from the PBE+U geometry in the Materials Project.
Peak positions follow from Bragg's law for the DFT cell and can differ from measured ones.

Peak list (10 most intense, 2θ from 10° to 80°, sorted by position)
- (0 0 2), 2θ 11.61, 7.619 Å, I = 82
- (0 0 3), 2θ 17.46, 5.080 Å, I = 37
- (1 1 0), 2θ 32.58, 2.748 Å, I = 100
- (2 0 1), 2θ 33.12, 2.705 Å, I = 50
- (2 0 -2), 2θ 34.70, 2.585 Å, I = 41
- (0 0 6), 2θ 35.34, 2.540 Å, I = 53
- (1 1 3), 2θ 37.20, 2.417 Å, I = 39
- (1 1 -4), 2θ 40.47, 2.229 Å, I = 38
- (2 0 -6), 2θ 48.83, 1.865 Å, I = 42
- (3 1 0), 2θ 58.17, 1.586 Å, I = 31

Atomic structure:
```
data_Li5NiOF5
_chemical_formula_sum 'Li10 Ni2 O2 F10'
_space_group_name_H-M_alt 'C 1 m 1'
_space_group_IT_number 8
_space_group_name_Hall 'C -2y'
_cell_length_a 5.490
_cell_length_b 3.177
_cell_length_c 15.239
_cell_angle_alpha 90.00
_cell_angle_beta 90.04
_cell_angle_gamma 90.00
loop_
_atom_site_label
_atom_site_type_symbol
_atom_site_fract_x
_atom_site_fract_y
_atom_site_fract_z
Li1 Li 0.000 0.000 0.000
Li2 Li 0.000 0.000 0.324
Li3 Li 0.166 0.500 0.162
Li4 Li 0.166 0.500 0.837
Li5 Li 0.167 0.500 0.485
Ni1 Ni 0.497 0.500 0.671
O1 O 0.165 0.500 0.706
F1 F 0.000 0.000 0.200
F2 F 0.000 0.000 0.876
F3 F 0.001 0.000 0.522
F4 F 0.167 0.500 0.038
F5 F 0.167 0.500 0.361
```

Record 2
Theoretical powder XRD pattern of Ca4CrFe3O10 for copper Kα, from the PBE+U geometry in the Materials Project.
Peak positions follow from Bragg's law for the DFT cell and can differ from measured ones.

Peak list (10 most intense, 2θ from 10° to 80°, sorted by position)
- (1 1 -1), 2θ 22.50, 3.952 Å, I = 12
- (2 0 -2), 2θ 31.44, 2.845 Å, I = 36
- (0 2 0), 2θ 32.60, 2.747 Å, I = 45
- (1 1 -5), 2θ 33.20, 2.699 Å, I = 100
- (1 1 5), 2θ 43.29, 2.090 Å, I = 14
- (2 2 -2), 2θ 45.93, 1.976 Å, I = 40
- (0 0 8), 2θ 49.34, 1.847 Å, I = 18
- (3 1 -7), 2θ 57.10, 1.613 Å, I = 18
- (1 3 -5), 2θ 58.55, 1.576 Å, I = 16
- (2 2 6), 2θ 69.68, 1.349 Å, I = 14

Atomic structure:
```
data_Ca4CrFe3O10
_chemical_formula_sum 'Ca8 Cr2 Fe6 O20'
_space_group_name_H-M_alt 'P 1 21/c 1'
_space_group_IT_number 14
_space_group_name_Hall '-P 2ybc'
_cell_length_a 5.690
_cell_length_b 5.493
_cell_length_c 15.830
_cell_angle_alpha 90.00
_cell_angle_beta 111.02
_cell_angle_gamma 90.00
loop_
_atom_site_label
_atom_site_type_symbol
_atom_site_fract_x
_atom_site_fract_y
_atom_site_fract_z
Ca1 Ca 0.081 0.022 0.107
Ca2 Ca 0.368 0.022 0.393
Cr1 Cr 0.500 0.000 0.000
Fe1 Fe 0.000 0.000 0.500
Fe2 Fe 0.320 0.554 0.251
O1 O 0.063 0.031 0.643
O2 O 0.252 0.736 0.518
O3 O 0.280 0.235 0.517
O4 O 0.288 0.027 0.862
O5 O 0.370 0.592 0.750
```